# 1
Structure and simulated powder diffractogram of NaCaNiH6 (the PBE geometry in Alexandria; Cu Kα (λ = 1.5418 Å)).

Principal peaks in the range 2θ = 10–80°, in order of rising 2θ:
Position (°2θ)	I (rel.)	index
20.6	271	0 0 1
21.5	217	1 0 0
30.0	1000	0 1 1
37.7	581	1 1 0
43.4	199	1 1 1
47.6	330	1 0 2
48.9	259	2 0 1
62.3	147	2 0 2
63.3	203	1 2 1
68.0	90	3 0 0
69.3	72	1 0 3
75.1	154	2 1 2

```
data_NaCaNiH6
_chemical_formula_sum 'Na1 Ca1 Ni1 H6'
_symmetry_space_group_name_H-M 'P 3 m 1'
_symmetry_Int_Tables_number 156
_cell_length_a 4.7733
_cell_length_b 4.7733
_cell_length_c 4.3044
_cell_angle_alpha 90.00
_cell_angle_beta 90.00
_cell_angle_gamma 120.00
loop_
_symmetry_equiv_pos_as_xyz
'x,y,z'
'-y,x-y,z'
'-x+y,-x,z'
'-y,-x,z'
'-x+y,y,z'
'x,x-y,z'
loop_
_atom_site_label
_atom_site_fract_x
_atom_site_fract_y
_atom_site_fract_z
_atom_site_occupancy
Na1 0.0000 0.0000 0.0000 1
Ca1 0.6667 0.3333 0.5025 1
Ni1 0.3333 0.6667 0.2446 1
H1 0.0177 0.5089 0.0380 1
H2 0.1783 0.3566 0.4567 1
```

***

# 2
Structure and simulated powder diffractogram of NaCaSiHO4 (the PBE geometry in Alexandria; Cu Kα (λ = 1.5418 Å)).

Principal peaks in the range 2θ = 10–80°, in order of rising 2θ:
Position (°2θ)	I (rel.)	index
22.8	300	1 1 -1
31.0	846	1 0 1
31.1	1000	1 2 0
32.5	572	1 0 -2
32.8	309	2 0 -1
44.7	240	0 2 2
45.1	173	2 2 0
46.5	249	2 2 -2
51.4	226	0 4 0
55.3	179	2 2 1
56.6	197	3 0 0
57.2	217	3 2 -1

```
data_NaCaSiHO4
_chemical_formula_sum 'Na2 Ca2 Si2 H2 O8'
_symmetry_space_group_name_H-M 'P 1 21 1'
_symmetry_Int_Tables_number 4
_cell_length_a 5.464
_cell_length_b 7.108
_cell_length_c 5.527
_cell_angle_alpha 90.00
_cell_angle_beta 116.67
_cell_angle_gamma 90.00
loop_
_symmetry_equiv_pos_as_xyz
'x,y,z'
'-x,y+1/2,-z'
loop_
_atom_site_label
_atom_site_fract_x
_atom_site_fract_y
_atom_site_fract_z
_atom_site_occupancy
Na1 0.137 0.000 0.258 1
Ca1 0.496 0.248 0.007 1
Si1 0.159 0.489 0.373 1
H1 0.465 0.733 0.468 1
O1 0.173 0.997 0.806 1
O2 0.265 0.495 0.702 1
O3 0.293 0.308 0.291 1
O4 0.293 0.685 0.296 1
```

***

# 3
Structure and simulated powder diffractogram of Na2CaPH (the PBE geometry in Alexandria; Cu Kα (λ = 1.5418 Å)).

Principal peaks in the range 2θ = 10–80°, in order of rising 2θ:
Position (°2θ)	I (rel.)	index
18.2	57	0 0 1
20.5	21	1 0 0
29.1	38	1 1 0
34.5	1000	1 1 1
36.8	217	0 0 2
41.6	298	2 0 0
56.7	219	2 0 2
60.3	89	2 2 0
64.8	138	1 1 3
71.4	201	3 1 1
72.8	96	2 2 2
78.2	19	0 0 4

```
data_Na2CaPH
_chemical_formula_sum 'Na2 Ca1 P1 H1'
_symmetry_space_group_name_H-M 'P 4/m m m'
_symmetry_Int_Tables_number 123
_symmetry_space_group_name_Hall '-P 4 2'
_cell_length_a 4.338
_cell_length_b 4.338
_cell_length_c 4.887
_cell_angle_alpha 90.00
_cell_angle_beta 90.00
_cell_angle_gamma 90.00
loop_
_atom_site_label
_atom_site_fract_x
_atom_site_fract_y
_atom_site_fract_z
_atom_site_occupancy
Na1 0.000 0.500 0.000 1
Ca1 0.000 0.000 0.500 1
P1 0.500 0.500 0.500 1
H1 0.000 0.000 0.000 1
```

***

# 4
Structure and simulated powder diffractogram of NaCaH4Rh (the PBE geometry in Alexandria; Cu Kα (λ = 1.5418 Å)).

Principal peaks in the range 2θ = 10–80°, in order of rising 2θ:
Position (°2θ)	I (rel.)	index
16.0	698	0 0 2
24.8	369	1 0 1
33.5	625	1 1 0
33.9	1000	1 0 3
37.3	290	1 1 2
47.5	293	1 0 5
48.0	227	2 0 0
51.0	129	2 0 2
60.1	363	2 1 3
60.9	114	1 1 6
69.9	176	2 1 5
77.6	86	1 1 8

```
data_NaCaH4Rh
_chemical_formula_sum 'Na2 Ca2 H8 Rh2'
_symmetry_space_group_name_H-M 'I 4 m m'
_symmetry_Int_Tables_number 107
_symmetry_space_group_name_Hall 'I 4 -2'
_cell_length_a 3.788
_cell_length_b 3.788
_cell_length_c 11.077
_cell_angle_alpha 90.00
_cell_angle_beta 90.00
_cell_angle_gamma 90.00
loop_
_atom_site_label
_atom_site_fract_x
_atom_site_fract_y
_atom_site_fract_z
_atom_site_occupancy
Na1 0.000 0.000 0.000 1
Ca1 0.000 0.000 0.730 1
H1 0.000 0.000 0.202 1
H2 0.000 0.000 0.518 1
H3 0.000 0.500 0.360 1
Rh1 0.000 0.000 0.357 1
```

***

# 5
Structure and simulated powder diffractogram of Ca6NiH12 (the PBE geometry in Alexandria; Cu Kα (λ = 1.5418 Å)).

Principal peaks in the range 2θ = 10–80°, in order of rising 2θ:
Position (°2θ)	I (rel.)	index
14.3	87	1 0 1
21.9	67	0 1 2
28.8	388	0 0 3
30.0	1000	2 1 1
34.4	608	3 -2 2
48.7	246	2 1 4
50.2	201	1 4 0
57.5	129	3 -2 5
58.9	214	5 -1 3
59.6	150	0 0 6
62.3	96	4 2 2
78.0	77	2 1 7

```
data_Ca6NiH12
_chemical_formula_sum 'Ca18 Ni3 H36'
_symmetry_space_group_name_H-M 'R -3'
_symmetry_Int_Tables_number 148
_symmetry_space_group_name_Hall '-R 3'
_cell_length_a 9.6122
_cell_length_b 9.6122
_cell_length_c 9.3123
_cell_angle_alpha 90.00
_cell_angle_beta 90.00
_cell_angle_gamma 120.00
loop_
_atom_site_label
_atom_site_fract_x
_atom_site_fract_y
_atom_site_fract_z
_atom_site_occupancy
Ca1 0.0595 0.2640 0.1593 1
Ni1 0.0000 0.0000 0.5000 1
H1 0.0431 0.1840 0.3999 1
H2 0.0453 0.2299 0.9095 1
```

***

# 6
Structure and simulated powder diffractogram of CaNi2H4 (the PBE geometry in Alexandria; Cu Kα (λ = 1.5418 Å)).

Principal peaks in the range 2θ = 10–80°, in order of rising 2θ:
Position (°2θ)	I (rel.)	index
20.3	709	1 1 1
27.4	285	0 4 0
28.1	786	1 3 1
28.5	453	2 2 0
32.4	340	0 2 2
38.8	1000	2 0 2
39.7	984	1 5 1
46.0	185	3 3 1
48.2	181	2 4 2
51.2	370	4 0 0
54.3	358	3 5 1
59.0	335	1 5 3

```
data_CaNi2H4
_chemical_formula_sum 'Ca8 Ni16 H32'
_symmetry_space_group_name_H-M 'F d d 2'
_symmetry_Int_Tables_number 43
_symmetry_space_group_name_Hall 'F 2 -2d'
_cell_length_a 7.140
_cell_length_b 13.028
_cell_length_c 6.102
_cell_angle_alpha 90.00
_cell_angle_beta 90.00
_cell_angle_gamma 90.00
loop_
_atom_site_label
_atom_site_fract_x
_atom_site_fract_y
_atom_site_fract_z
_atom_site_occupancy
Ca1 0.000 0.000 0.000 1
Ni1 0.001 0.395 0.998 1
H1 0.024 0.139 0.754 1
H2 0.025 0.360 0.745 1
```

***

# 7
Structure and simulated powder diffractogram of CaNi5H (the PBE geometry in Alexandria; Cu Kα (λ = 1.5418 Å)).

Principal peaks in the range 2θ = 10–80°, in order of rising 2θ:
Position (°2θ)	I (rel.)	index
20.4	1000	1 1 0
20.8	374	2 0 0
36.1	304	3 1 0
41.5	589	2 2 0
42.4	959	0 2 1
42.6	957	3 1 -1
43.2	904	3 1 1
45.6	912	0 0 2
47.4	550	2 2 -1
47.9	869	4 0 -1
48.7	315	4 0 1
76.7	344	6 2 0

```
data_CaNi5H
_chemical_formula_sum 'Ca2 Ni10 H2'
_symmetry_space_group_name_H-M 'C 1 m 1'
_symmetry_Int_Tables_number 8
_cell_length_a 8.560
_cell_length_b 5.058
_cell_length_c 3.977
_cell_angle_alpha 90.00
_cell_angle_beta 91.08
_cell_angle_gamma 90.00
loop_
_symmetry_equiv_pos_as_xyz
'x,y,z'
'x,-y,z'
'x+1/2,y+1/2,z'
'x+1/2,-y+1/2,z'
loop_
_atom_site_label
_atom_site_fract_x
_atom_site_fract_y
_atom_site_fract_z
_atom_site_occupancy
Ca1 0.000 0.000 0.000 1
Ni1 0.156 0.500 0.033 1
Ni2 0.245 0.240 0.537 1
Ni3 0.334 0.000 0.030 1
Ni4 0.495 0.000 0.534 1
H1 0.293 0.500 0.327 1
```

***

# 8
Structure and simulated powder diffractogram of CaNi5H (the PBE geometry in Alexandria; Cu Kα (λ = 1.5418 Å)).

Principal peaks in the range 2θ = 10–80°, in order of rising 2θ:
Position (°2θ)	I (rel.)	index
20.0	295	0 2 0
20.8	318	1 1 0
35.4	132	1 3 0
40.6	198	0 4 0
42.3	1000	1 3 1
43.6	394	2 0 1
45.8	405	0 0 2
46.8	176	0 4 1
48.4	563	2 2 1
62.8	97	0 4 2
70.2	162	3 3 1
75.0	152	2 6 0

```
data_CaNi5H
_chemical_formula_sum 'Ca2 Ni10 H2'
_symmetry_space_group_name_H-M 'C m m 2'
_symmetry_Int_Tables_number 35
_cell_length_a 4.870
_cell_length_b 8.896
_cell_length_c 3.963
_cell_angle_alpha 90.00
_cell_angle_beta 90.00
_cell_angle_gamma 90.00
loop_
_symmetry_equiv_pos_as_xyz
'x,y,z'
'-x,-y,z'
'-x,y,z'
'x,-y,z'
'x+1/2,y+1/2,z'
'-x+1/2,-y+1/2,z'
'-x+1/2,y+1/2,z'
'x+1/2,-y+1/2,z'
loop_
_atom_site_label
_atom_site_fract_x
_atom_site_fract_y
_atom_site_fract_z
_atom_site_occupancy
Ca1 0.000 0.000 0.000 1
Ni1 0.000 0.320 0.004 1
Ni2 0.000 0.500 0.497 1
Ni3 0.250 0.250 0.502 1
H1 0.000 0.500 0.921 1
```

***

Question: What is the formula in the fourth record?
Answer: NaCaH4Rh